Structure and computed powder diffraction line list of Pm3Ho4Er4 (a GGA-PBE-relaxed structure; Cu Ka).
Neutral-atom scattering factors, no anomalous dispersion.

The 12 most intense peaks (15 to 90 degrees two-theta), most intense first:
| 2θ (°) | Rel. int. | index |
| --- | --- | --- |
| 31.8 | 100 | 0 2 1 |
| 56.7 | 19 | 0 3 7 |
| 62.9 | 18 | 2 2 2 |
| 31.1 | 16 | 1 0 4 |
| 45.1 | 12 | 1 -2 3 |
| 81.1 | 9 | 2 3 8 |
| 57.2 | 7 | -1 2 8 |
| 66.5 | 7 | 0 4 2 |
| 89.7 | 7 | 2 4 3 |
| 52.7 | 5 | 2 0 1 |
| 55.8 | 5 | 1 -1 9 |
| 39.6 | 5 | 1 1 -4 |

Crystal structure
```
Pm3Ho4Er4
1.0
3.476 0.000 0.000
0.001 5.626 0.000
1.731 2.805 17.848
Pm Ho Er
3 4 4
direct
0.000 0.000 0.000
0.138 0.637 0.726
0.862 0.363 0.274
0.318 0.818 0.363
0.454 0.454 0.092
0.546 0.546 0.908
0.682 0.182 0.637
0.266 0.266 0.467
0.408 0.909 0.182
0.592 0.091 0.818
0.734 0.734 0.533
```